[1]
For LiGaMo2O8, a GGA+U-relaxed structure gives the calculated X-ray powder pattern in this record (copper Kα).
Peak positions follow from Bragg's law for the DFT cell and can differ from measured ones.

Crystal structure
```
data_LiGaMo2O8
_chemical_formula_sum 'Li2 Ga2 Mo4 O16'
_symmetry_space_group_name_H-M 'P -1'
_symmetry_Int_Tables_number 2
_cell_length_a 6.830
_cell_length_b 7.190
_cell_length_c 7.498
_cell_angle_alpha 91.14
_cell_angle_beta 110.60
_cell_angle_gamma 104.75
loop_
_symmetry_equiv_pos_as_xyz
'x,y,z'
'-x,-y,-z'
loop_
_atom_site_label
_atom_site_fract_x
_atom_site_fract_y
_atom_site_fract_z
Li1 0.231 0.053 0.252
Ga1 0.406 0.600 0.819
Mo1 0.177 0.533 0.288
Mo2 0.332 0.076 0.789
O1 0.090 0.984 0.828
O2 0.114 0.553 0.840
O3 0.245 0.540 0.543
O4 0.253 0.077 0.542
O5 0.277 0.772 0.244
O6 0.312 0.368 0.226
O7 0.425 0.343 0.891
O8 0.483 0.884 0.846
```

Most intense lines, 10° ≤ 2θ ≤ 90°, by intensity:
- (2 0 -1), 27.07 deg, d 3.294, I = 1000
- (0 2 0), 25.83 deg, d 3.450, I = 905
- (0 0 2), 25.57 deg, d 3.484, I = 803
- (1 0 -1), 15.31 deg, d 5.786, I = 326
- (1 0 0), 14.43 deg, d 6.139, I = 316
- (1 1 -1), 21.59 deg, d 4.116, I = 313
- (0 1 0), 12.83 deg, d 6.902, I = 310
- (1 -1 1), 23.05 deg, d 3.859, I = 304
- (1 1 1), 28.74 deg, d 3.107, I = 254
- (0 2 -2), 34.29 deg, d 2.615, I = 251
- (1 -4 0), 50.81 deg, d 1.797, I = 238
- (2 -2 0), 33.18 deg, d 2.700, I = 230



[2]
For LiVGaO4, a GGA+U-relaxed structure gives the calculated X-ray powder pattern in this record (copper Kα).
Peak positions follow from Bragg's law for the DFT cell and can differ from measured ones.

Crystal structure
```
data_LiVGaO4
_chemical_formula_sum 'Li4 V4 Ga4 O16'
_symmetry_space_group_name_H-M 'P 1'
_symmetry_Int_Tables_number 1
_cell_length_a 5.912
_cell_length_b 5.955
_cell_length_c 10.244
_cell_angle_alpha 74.54
_cell_angle_beta 73.64
_cell_angle_gamma 60.62
loop_
_symmetry_equiv_pos_as_xyz
'x,y,z'
loop_
_atom_site_label
_atom_site_fract_x
_atom_site_fract_y
_atom_site_fract_z
Li1 0.000 0.000 0.000
Li2 0.119 0.152 0.617
Li3 0.499 0.505 0.500
Li4 0.619 0.650 0.117
V1 0.062 0.579 0.307
V2 0.304 0.324 0.058
V3 0.559 0.076 0.809
V4 0.814 0.827 0.558
Ga1 0.057 0.080 0.310
Ga2 0.060 0.574 0.808
Ga3 0.559 0.080 0.310
Ga4 0.561 0.574 0.809
O1 0.154 0.721 0.429
O2 0.190 0.222 0.412
O3 0.205 0.213 0.932
O4 0.212 0.658 0.932
O5 0.406 0.443 0.187
O6 0.413 0.994 0.187
O7 0.423 0.440 0.705
O8 0.464 0.945 0.691
O9 0.655 0.204 0.926
O10 0.696 0.711 0.912
O11 0.707 0.166 0.429
O12 0.713 0.713 0.433
O13 0.908 0.489 0.687
O14 0.912 0.939 0.683
O15 0.928 0.935 0.205
O16 0.964 0.437 0.188
```

Most intense lines, 10° ≤ 2θ ≤ 90°, by intensity:
- (0 1 1), 18.27 deg, d 4.857, I = 1000
- (0 2 -2), 42.32 deg, d 2.136, I = 190
- (2 0 -2), 43.13 deg, d 2.097, I = 179
- (0 2 0), 34.98 deg, d 2.565, I = 173
- (2 2 4), 43.54 deg, d 2.079, I = 173
- (2 2 2), 35.69 deg, d 2.516, I = 161
- (2 1 -1), 35.45 deg, d 2.532, I = 159
- (2 2 -4), 62.02 deg, d 1.496, I = 113
- (0 0 4), 37.00 deg, d 2.430, I = 98
- (0 0 8), 78.86 deg, d 1.214, I = 66
- (2 0 -4), 57.03 deg, d 1.615, I = 64
- (2 3 5), 57.53 deg, d 1.602, I = 61



[3]
For LiVGaO4, a GGA+U-relaxed structure gives the calculated X-ray powder pattern in this record (copper Kα).
Peak positions follow from Bragg's law for the DFT cell and can differ from measured ones.

Crystal structure
```
data_LiVGaO4
_chemical_formula_sum 'Li4 V4 Ga4 O16'
_symmetry_space_group_name_H-M 'P -1'
_symmetry_Int_Tables_number 2
_cell_length_a 5.884
_cell_length_b 5.968
_cell_length_c 10.222
_cell_angle_alpha 75.02
_cell_angle_beta 73.96
_cell_angle_gamma 60.86
loop_
_symmetry_equiv_pos_as_xyz
'x,y,z'
'-x,-y,-z'
loop_
_atom_site_label
_atom_site_fract_x
_atom_site_fract_y
_atom_site_fract_z
Li1 0.067 0.049 0.317
Li2 0.433 0.451 0.183
V1 0.000 0.000 0.000
V2 0.000 0.500 0.500
V3 0.500 0.000 0.000
V4 0.500 0.500 0.500
Ga1 0.000 0.500 0.000
Ga2 0.250 0.249 0.750
Ga3 0.500 0.000 0.500
O1 0.087 0.656 0.120
O2 0.128 0.120 0.107
O3 0.134 0.600 0.614
O4 0.145 0.147 0.612
O5 0.355 0.352 0.888
O6 0.366 0.899 0.886
O7 0.372 0.380 0.393
O8 0.412 0.845 0.380
```

Most intense lines, 10° ≤ 2θ ≤ 90°, by intensity:
- (1 1 0), 18.27 deg, d 4.857, I = 1000
- (0 2 -2), 42.04 deg, d 2.149, I = 196
- (2 0 -2), 43.18 deg, d 2.095, I = 179
- (1 -1 2), 34.82 deg, d 2.577, I = 179
- (2 2 4), 43.77 deg, d 2.068, I = 170
- (1 2 3), 35.83 deg, d 2.506, I = 160
- (1 0 -3), 35.49 deg, d 2.530, I = 159
- (2 2 0), 37.01 deg, d 2.429, I = 132
- (2 2 -4), 61.85 deg, d 1.500, I = 115
- (2 4 2), 62.31 deg, d 1.490, I = 111
- (4 2 2), 63.18 deg, d 1.472, I = 106
- (1 -2 3), 55.69 deg, d 1.650, I = 67